For Cd2FeP2, the PBE geometry in OQMD gives the theoretical XRD peak list in this record (Cu Kα X-rays).
Peak positions follow from Bragg's law for the DFT cell and can differ from measured ones.

Main lines, by angle (2θ from 10° to 90°):
two_theta  I_rel
30.3  64
34.9  15
36.6  100
49.5  37
55.7  17
62.0  15
63.1  19
84.1  17

Atomic structure:
```
data_Cd2FeP2
_chemical_formula_sum 'Cd2 Fe1 P2'
_cell_length_a 3.6836
_cell_length_b 3.6836
_cell_length_c 7.7058
_cell_angle_alpha 90.00
_cell_angle_beta 90.00
_cell_angle_gamma 120.00
_space_group_name_H-M_alt 'P -3 m 1'
_space_group_IT_number 164
_space_group_name_Hall '-P 3 2"'
loop_
_atom_site_label
_atom_site_type_symbol
_atom_site_fract_x
_atom_site_fract_y
_atom_site_fract_z
_atom_site_occupancy
Cd1 Cd 0.3333 0.6667 0.1383 1
Fe1 Fe 0.0000 0.0000 0.5000 1
P1 P 0.3333 0.6667 0.6097 1
```